Record 1
Structure and theoretical XRD peak list of Tb2AlGa4 (a DFT-relaxed cell (GGA-PBE, Alexandria); Cu Kα (weighted mean of Kα1 and Kα2)).

Structure:
Lattice parameters (Å, degrees): 6.4919 6.4919 3.7208 90.00 90.00 90.00
Atoms (fractional coordinates):
Tb 0.0000 0.5000 0.0000
Tb 0.5000 0.0000 0.0000
Al 0.0000 0.0000 0.5000
Ga 0.2978 0.2978 0.5000
Ga 0.2978 0.7022 0.5000
Ga 0.7022 0.2978 0.5000
Ga 0.7022 0.7022 0.5000

Peak list (10 most intense, 2θ from 10° to 80°, sorted by position)
two_theta	I_rel
19.34	60
30.94	76
36.74	100
39.25	43
44.11	27
48.96	16
50.78	25
64.47	20
66.02	17
79.57	16

Record 2
Structure and theoretical XRD peak list of Ti8Pd2Pt3 (a DFT-relaxed cell (GGA-PBE, Alexandria); Cu Kα (weighted mean of Kα1 and Kα2)).

Structure:
Lattice parameters (Å, degrees): 9.9586 9.9586 9.9586 30.09 30.09 30.09
Atoms (fractional coordinates):
Ti 0.2135 0.2135 0.2135
Ti 0.2239 0.2239 0.7218
Ti 0.2239 0.7218 0.2239
Ti 0.2782 0.7761 0.7761
Ti 0.7218 0.2239 0.2239
Ti 0.7761 0.2782 0.7761
Ti 0.7761 0.7761 0.2782
Ti 0.7865 0.7865 0.7865
Pd 0.1307 0.1307 0.1307
Pd 0.8693 0.8693 0.8693
Pt 0.3085 0.3085 0.3085
Pt 0.5000 0.5000 0.5000
Pt 0.6915 0.6915 0.6915

Peak list (10 most intense, 2θ from 10° to 80°, sorted by position)
two_theta	I_rel
25.29	98
34.70	100
37.40	33
39.69	54
40.21	74
43.42	56
55.52	22
56.74	23
65.92	34
73.22	24

Record 3
Structure and theoretical XRD peak list of Ca3SF3 (a DFT-relaxed cell (GGA-PBE, Alexandria); Cu Kα (weighted mean of Kα1 and Kα2)).

Structure:
Lattice parameters (Å, degrees): 7.6287 7.6287 7.6287 52.86 52.86 52.86
Atoms (fractional coordinates):
Ca 0.0858 0.4151 0.7440
Ca 0.2560 0.9142 0.5849
Ca 0.4151 0.7440 0.0858
Ca 0.5849 0.2560 0.9142
Ca 0.7440 0.0858 0.4151
Ca 0.9142 0.5849 0.2560
S 0.1667 0.1667 0.1667
S 0.8333 0.8333 0.8333
F 0.0426 0.7056 0.3734
F 0.2944 0.6266 0.9574
F 0.3734 0.0426 0.7056
F 0.6266 0.9574 0.2944
F 0.7056 0.3734 0.0426
F 0.9574 0.2944 0.6266

Peak list (10 most intense, 2θ from 10° to 80°, sorted by position)
two_theta	I_rel
26.24	29
27.26	22
29.64	100
38.20	61
46.31	71
49.68	51
54.57	15
55.95	14
61.53	13
70.25	15

Record 4
Structure and theoretical XRD peak list of Ti2NiPt5 (a DFT-relaxed cell (GGA-PBE, Alexandria); Cu Kα (weighted mean of Kα1 and Kα2)).

Structure:
Lattice parameters (Å, degrees): 5.5158 11.0138 3.9160 90.00 90.00 90.00
Atoms (fractional coordinates):
Ti 0.2492 0.1223 0.0000
Ti 0.2508 0.6223 0.0000
Ti 0.7492 0.3777 0.0000
Ti 0.7508 0.8777 0.0000
Ni 0.0000 0.0000 0.5000
Ni 0.5000 0.5000 0.5000
Pt 0.0000 0.5000 0.5000
Pt 0.0115 0.2461 0.5000
Pt 0.2363 0.8812 0.0000
Pt 0.2637 0.3812 0.0000
Pt 0.4885 0.7461 0.5000
Pt 0.5000 0.0000 0.5000
Pt 0.5115 0.2539 0.5000
Pt 0.7363 0.6188 0.0000
Pt 0.7637 0.1188 0.0000
Pt 0.9885 0.7539 0.5000

Peak list (10 most intense, 2θ from 10° to 80°, sorted by position)
two_theta	I_rel
22.82	14
32.42	13
40.01	100
46.37	17
46.61	32
52.49	4
57.92	4
67.86	21
67.98	5
68.11	5

What did the fourth record say?
Structure and theoretical XRD peak list of Ti2NiPt5 (a DFT-relaxed cell (GGA-PBE, Alexandria); Cu Kα (weighted mean of Kα1 and Kα2)).

Structure:
Lattice parameters (Å, degrees): 5.5158 11.0138 3.9160 90.00 90.00 90.00
Atoms (fractional coordinates):
Ti 0.2492 0.1223 0.0000
Ti 0.2508 0.6223 0.0000
Ti 0.7492 0.3777 0.0000
Ti 0.7508 0.8777 0.0000
Ni 0.0000 0.0000 0.5000
Ni 0.5000 0.5000 0.5000
Pt 0.0000 0.5000 0.5000
Pt 0.0115 0.2461 0.5000
Pt 0.2363 0.8812 0.0000
Pt 0.2637 0.3812 0.0000
Pt 0.4885 0.7461 0.5000
Pt 0.5000 0.0000 0.5000
Pt 0.5115 0.2539 0.5000
Pt 0.7363 0.6188 0.0000
Pt 0.7637 0.1188 0.0000
Pt 0.9885 0.7539 0.5000

Peak list (10 most intense, 2θ from 10° to 80°, sorted by position)
two_theta	I_rel
22.82	14
32.42	13
40.01	100
46.37	17
46.61	32
52.49	4
57.92	4
67.86	21
67.98	5
68.11	5